No. 1
# Sc2Ti4Te9
Computed PXRD pattern, Cu Kα, 1.54184 Å. Input: a GGA-PBE-relaxed structure.
No peak broadening, texture or thermal motion is included.

Peak list (12 most intense, 5° ≤ 2θ ≤ 70°, by angle)
hkl	d_spacing	two_theta	I/Imax
2 0 -2	5.140	17.25	3.7
0 2 0	3.511	25.37	5.5
0 0 6	3.205	27.84	13.9
3 1 3	3.079	29.00	100.0
0 2 6	2.367	38.01	35.7
6 0 0	2.027	44.70	31.0
3 1 9	1.825	49.97	21.7
6 0 6	1.713	53.49	13.6
0 4 3	1.693	54.17	16.8
0 0 12	1.603	57.51	4.7
6 2 6	1.540	60.09	8.8
6 2 9	1.356	69.27	7.9

Cell and atoms:
```
data_Sc2Ti4Te9
_chemical_formula_sum 'Sc8 Ti16 Te36'
_cell_length_a 12.151
_cell_length_b 7.029
_cell_length_c 19.231
_cell_angle_alpha 90.00
_cell_angle_beta 90.02
_cell_angle_gamma 90.00
_symmetry_space_group_name_H-M 'C 1 2/c 1'
_symmetry_Int_Tables_number 15
loop_
_symmetry_equiv_pos_as_xyz
'x,y,z'
'-x,-y,-z'
'-x,y,-z+1/2'
'x,-y,z+1/2'
'x+1/2,y+1/2,z'
'-x+1/2,-y+1/2,-z'
'-x+1/2,y+1/2,-z+1/2'
'x+1/2,-y+1/2,z+1/2'
loop_
_atom_site_label
_atom_site_type_symbol
_atom_site_fract_x
_atom_site_fract_y
_atom_site_fract_z
Sc1 Sc 0.001 0.000 0.165
Ti1 Ti 0.167 0.499 0.337
Ti2 Ti 0.167 0.499 0.494
Te1 Te 0.000 0.343 0.250
Te2 Te 0.003 0.340 0.582
Te3 Te 0.169 0.174 0.081
Te4 Te 0.171 0.165 0.419
Te5 Te 0.172 0.173 0.750
```

=====

No. 2
# ScTl5Te5
Computed PXRD pattern, Cu Kα, 1.54184 Å. Input: a GGA-PBE-relaxed structure.
No peak broadening, texture or thermal motion is included.

Peak list (12 most intense, 5° ≤ 2θ ≤ 70°, by angle)
hkl	d_spacing	two_theta	I/Imax
2 0 0	7.069	12.52	18.4
1 1 -1	5.125	17.30	19.8
3 1 0	3.753	23.71	20.6
4 0 -2	3.380	26.37	91.6
2 0 2	3.319	26.86	100.0
0 2 0	3.105	28.75	90.4
2 0 -4	2.381	37.79	32.4
6 0 0	2.356	38.19	31.0
4 2 -2	2.287	39.40	63.5
2 2 2	2.268	39.75	70.6
2 2 -4	1.889	48.16	32.6
6 2 0	1.877	48.49	31.5

Cell and atoms:
```
data_ScTl5Te5
_chemical_formula_sum 'Sc2 Tl10 Te10'
_cell_length_a 15.003
_cell_length_b 6.211
_cell_length_c 9.524
_cell_angle_alpha 90.00
_cell_angle_beta 109.54
_cell_angle_gamma 90.00
_symmetry_space_group_name_H-M 'C 1 2/m 1'
_symmetry_Int_Tables_number 12
loop_
_symmetry_equiv_pos_as_xyz
'x,y,z'
'-x,-y,-z'
'-x,y,-z'
'x,-y,z'
'x+1/2,y+1/2,z'
'-x+1/2,-y+1/2,-z'
'-x+1/2,y+1/2,-z'
'x+1/2,-y+1/2,z'
loop_
_atom_site_label
_atom_site_type_symbol
_atom_site_fract_x
_atom_site_fract_y
_atom_site_fract_z
Sc1 Sc 0.000 0.000 0.000
Tl1 Tl 0.000 0.000 0.500
Tl2 Tl 0.179 0.500 0.851
Tl3 Tl 0.184 0.500 0.310
Te1 Te 0.000 0.500 0.000
Te2 Te 0.146 0.000 0.847
Te3 Te 0.150 0.000 0.301
```

=====

No. 3
# ScTl2Te
Computed PXRD pattern, Cu Kα, 1.54184 Å. Input: a GGA-PBE-relaxed structure.
No peak broadening, texture or thermal motion is included.

Peak list (12 most intense, 5° ≤ 2θ ≤ 70°, by angle)
hkl	d_spacing	two_theta	I/Imax
0 0 1	7.990	11.07	19.2
1 0 -1	3.452	25.81	14.0
1 0 1	3.402	26.20	44.1
1 0 -2	2.779	32.22	38.8
0 1 2	2.739	32.69	72.8
1 0 2	2.722	32.91	34.8
1 1 0	2.669	33.58	100.0
2 0 0	1.895	48.00	14.9
0 2 0	1.881	48.38	14.7
2 1 -2	1.569	58.86	14.2
1 2 -2	1.558	59.31	17.3
1 2 2	1.548	59.74	24.9

Cell and atoms:
```
data_ScTl2Te
_chemical_formula_sum 'Sc1 Tl2 Te1'
_cell_length_a 3.791
_cell_length_b 3.763
_cell_length_c 7.992
_cell_angle_alpha 90.00
_cell_angle_beta 91.18
_cell_angle_gamma 90.00
_symmetry_space_group_name_H-M 'P 1 m 1'
_symmetry_Int_Tables_number 6
loop_
_symmetry_equiv_pos_as_xyz
'x,y,z'
'x,-y,z'
loop_
_atom_site_label
_atom_site_type_symbol
_atom_site_fract_x
_atom_site_fract_y
_atom_site_fract_z
Sc1 Sc 0.000 0.000 0.000
Tl1 Tl 0.481 0.500 0.253
Tl2 Tl 0.979 0.000 0.520
Te1 Te 0.496 0.500 0.841
```

=====

No. 4
# Sc3Tl3ZnTe8
Computed PXRD pattern, Cu Kα, 1.54184 Å. Input: a GGA-PBE-relaxed structure.
No peak broadening, texture or thermal motion is included.

Peak list (12 most intense, 5° ≤ 2θ ≤ 70°, by angle)
hkl	d_spacing	two_theta	I/Imax
1 1 0	6.933	12.77	11.2
4 0 -1	3.576	24.90	11.3
2 2 -2	3.113	28.67	100.0
2 2 1	2.909	30.73	21.3
0 0 3	2.723	32.90	12.4
4 0 -4	2.337	38.52	34.1
0 4 0	2.087	43.36	35.4
8 0 -4	1.733	52.81	18.1
4 0 3	1.672	54.92	10.2
6 2 1	1.656	55.47	15.4
4 4 -4	1.556	59.38	6.4
6 2 -6	1.460	63.76	9.3

Cell and atoms:
```
data_Sc3Tl3ZnTe8
_chemical_formula_sum 'Sc6 Tl6 Zn2 Te16'
_cell_length_a 14.467
_cell_length_b 8.341
_cell_length_c 9.490
_cell_angle_alpha 90.00
_cell_angle_beta 120.57
_cell_angle_gamma 90.00
_symmetry_space_group_name_H-M 'C 1 2/m 1'
_symmetry_Int_Tables_number 12
loop_
_symmetry_equiv_pos_as_xyz
'x,y,z'
'-x,-y,-z'
'-x,y,-z'
'x,-y,z'
'x+1/2,y+1/2,z'
'-x+1/2,-y+1/2,-z'
'-x+1/2,y+1/2,-z'
'x+1/2,-y+1/2,z'
loop_
_atom_site_label
_atom_site_type_symbol
_atom_site_fract_x
_atom_site_fract_y
_atom_site_fract_z
Sc1 Sc 0.000 0.000 0.000
Sc2 Sc 0.250 0.250 0.000
Tl1 Tl 0.000 0.500 0.500
Tl2 Tl 0.250 0.250 0.500
Zn1 Zn 0.000 0.500 0.000
Te1 Te 0.017 0.249 0.799
Te2 Te 0.233 0.500 0.200
Te3 Te 0.235 0.000 0.206
```

=====

No. 5
# Tm3Sc4Te4
Computed PXRD pattern, Cu Kα, 1.54184 Å. Input: a GGA-PBE-relaxed structure.
No peak broadening, texture or thermal motion is included.

Peak list (12 most intense, 5° ≤ 2θ ≤ 70°, by angle)
hkl	d_spacing	two_theta	I/Imax
0 1 1	7.718	11.46	16.9
0 2 0	4.366	20.34	21.5
0 1 5	3.087	28.93	21.1
1 2 1	2.848	31.41	85.6
1 1 4	2.682	33.41	100.0
0 3 3	2.573	34.87	30.6
1 0 5	2.508	35.80	17.3
0 2 6	2.327	38.70	19.6
1 3 2	2.237	40.32	16.3
0 4 0	2.183	41.36	29.0
2 0 0	1.930	47.09	20.9
1 5 4	1.485	62.56	35.2

Cell and atoms:
```
data_Tm3Sc4Te4
_chemical_formula_sum 'Tm6 Sc8 Te8'
_cell_length_a 3.860
_cell_length_b 8.733
_cell_length_c 16.498
_cell_angle_alpha 90.00
_cell_angle_beta 90.00
_cell_angle_gamma 90.00
_symmetry_space_group_name_H-M 'I m m m'
_symmetry_Int_Tables_number 71
_symmetry_space_group_name_Hall '-I 2 2'
loop_
_atom_site_label
_atom_site_type_symbol
_atom_site_fract_x
_atom_site_fract_y
_atom_site_fract_z
Tm1 Tm 0.000 0.000 0.000
Tm2 Tm 0.000 0.500 0.107
Sc1 Sc 0.000 0.311 0.331
Te1 Te 0.000 0.000 0.253
Te2 Te 0.000 0.204 0.500
```

=====

No. 6
# TmSc5Te4
Computed PXRD pattern, Cu Kα, 1.54184 Å. Input: a GGA-PBE-relaxed structure.
No peak broadening, texture or thermal motion is included.

Peak list (12 most intense, 5° ≤ 2θ ≤ 70°, by angle)
hkl	d_spacing	two_theta	I/Imax
0 1 1	5.622	15.76	19.2
1 0 1	5.458	16.24	20.1
0 2 1	3.894	22.84	33.0
2 0 1	3.684	24.16	100.0
1 0 2	3.259	27.37	29.5
0 3 1	2.849	31.40	45.3
3 0 1	2.668	33.60	21.3
2 1 2	2.620	34.23	18.8
2 2 2	2.357	38.19	39.5
0 4 0	2.336	38.54	22.7
4 0 0	2.162	41.78	19.0
2 3 2	2.053	44.11	34.6

Cell and atoms:
```
data_TmSc5Te4
_chemical_formula_sum 'Tm2 Sc10 Te8'
_cell_length_a 8.648
_cell_length_b 9.349
_cell_length_c 7.037
_cell_angle_alpha 90.00
_cell_angle_beta 90.00
_cell_angle_gamma 90.00
_symmetry_space_group_name_H-M 'P m m n'
_symmetry_Int_Tables_number 59
loop_
_symmetry_equiv_pos_as_xyz
'x,y,z'
'-x,-y,-z'
'-x+1/2,-y+1/2,z'
'x+1/2,y+1/2,-z'
'x+1/2,-y,-z'
'-x+1/2,y,z'
'-x,y+1/2,-z'
'x,-y+1/2,z'
loop_
_atom_site_label
_atom_site_type_symbol
_atom_site_fract_x
_atom_site_fract_y
_atom_site_fract_z
Tm1 Tm 0.250 0.250 0.142
Sc1 Sc 0.064 0.050 0.766
Sc2 Sc 0.250 0.750 0.798
Te1 Te 0.007 0.250 0.451
Te2 Te 0.250 0.554 0.095
```

=====

No. 7
# Tm2ScTe2
Computed PXRD pattern, Cu Kα, 1.54184 Å. Input: a GGA-PBE-relaxed structure.
No peak broadening, texture or thermal motion is included.

Peak list (12 most intense, 5° ≤ 2θ ≤ 70°, by angle)
hkl	d_spacing	two_theta	I/Imax
1 0 0	5.171	17.15	9.3
0 1 1	4.584	19.37	2.9
0 1 2	3.362	26.51	4.9
1 1 1	3.184	28.02	5.6
0 2 0	2.712	33.03	61.5
1 1 2	2.556	35.11	100.0
1 2 0	2.402	37.44	2.8
2 2 -1	1.918	47.40	22.3
0 0 5	1.714	53.47	6.6
3 1 1	1.534	60.34	41.3
2 0 4	1.449	64.30	15.0
0 4 0	1.356	69.29	7.1

Cell and atoms:
```
data_Tm2ScTe2
_chemical_formula_sum 'Tm4 Sc2 Te4'
_cell_length_a 5.424
_cell_length_b 5.425
_cell_length_c 8.986
_cell_angle_alpha 90.00
_cell_angle_beta 107.52
_cell_angle_gamma 90.00
_symmetry_space_group_name_H-M 'P 1 21/m 1'
_symmetry_Int_Tables_number 11
loop_
_symmetry_equiv_pos_as_xyz
'x,y,z'
'-x,-y,-z'
'-x,y+1/2,-z'
'x,-y+1/2,z'
loop_
_atom_site_label
_atom_site_type_symbol
_atom_site_fract_x
_atom_site_fract_y
_atom_site_fract_z
Tm1 Tm 0.053 0.250 0.106
Tm2 Tm 0.253 0.250 0.505
Sc1 Sc 0.449 0.250 0.898
Te1 Te 0.141 0.750 0.282
Te2 Te 0.361 0.750 0.721
```

=====

No. 8
# YTm3Sc2Te6
Computed PXRD pattern, Cu Kα, 1.54184 Å. Input: a GGA-PBE-relaxed structure.
No peak broadening, texture or thermal motion is included.

Peak list (12 most intense, 5° ≤ 2θ ≤ 70°, by angle)
hkl	d_spacing	two_theta	I/Imax
2 0 -1	6.987	12.67	10.0
4 0 1	3.640	24.46	8.3
1 1 -2	3.020	29.58	100.0
2 0 -4	2.141	42.21	12.6
7 1 -2	2.136	42.32	49.2
0 2 0	2.130	42.44	12.5
8 0 -4	1.747	52.38	13.0
6 2 0	1.741	52.58	13.0
2 2 -4	1.510	61.40	12.0
3 1 -6	1.353	69.45	5.6
8 2 -4	1.351	69.61	21.3
1 3 -2	1.348	69.78	5.6

Cell and atoms:
```
data_YTm3Sc2Te6
_chemical_formula_sum 'Y2 Tm6 Sc4 Te12'
_cell_length_a 18.622
_cell_length_b 4.260
_cell_length_c 8.564
_cell_angle_alpha 90.00
_cell_angle_beta 103.29
_cell_angle_gamma 90.00
_symmetry_space_group_name_H-M 'C 1 2/m 1'
_symmetry_Int_Tables_number 12
loop_
_symmetry_equiv_pos_as_xyz
'x,y,z'
'-x,-y,-z'
'-x,y,-z'
'x,-y,z'
'x+1/2,y+1/2,z'
'-x+1/2,-y+1/2,-z'
'-x+1/2,y+1/2,-z'
'x+1/2,-y+1/2,z'
loop_
_atom_site_label
_atom_site_type_symbol
_atom_site_fract_x
_atom_site_fract_y
_atom_site_fract_z
Y1 Y 0.000 0.000 0.000
Tm1 Tm 0.000 0.000 0.500
Tm2 Tm 0.161 0.500 0.830
Sc1 Sc 0.165 0.500 0.331
Te1 Te 0.004 0.500 0.256
Te2 Te 0.170 0.000 0.578
Te3 Te 0.171 0.000 0.090
```

=====

No. 9
# ScUTe6
Computed PXRD pattern, Cu Kα, 1.54184 Å. Input: a GGA-PBE-relaxed structure.
No peak broadening, texture or thermal motion is included.

Peak list (12 most intense, 5° ≤ 2θ ≤ 70°, by angle)
hkl	d_spacing	two_theta	I/Imax
0 0 2	12.931	6.84	40.9
0 0 4	6.465	13.70	21.8
0 0 8	3.233	27.59	26.5
1 1 1	3.049	29.29	14.2
1 1 3	2.893	30.91	100.0
1 1 5	2.640	33.95	31.0
1 0 8	2.592	34.61	18.3
1 1 7	2.361	38.11	30.4
2 0 0	2.171	41.59	44.7
2 0 8	1.802	50.64	19.9
2 2 0	1.535	60.28	14.9
3 1 3	1.356	69.29	19.4

Cell and atoms:
```
data_ScUTe6
_chemical_formula_sum 'Sc2 U2 Te12'
_cell_length_a 4.344
_cell_length_b 4.341
_cell_length_c 25.862
_cell_angle_alpha 90.00
_cell_angle_beta 90.00
_cell_angle_gamma 90.00
_symmetry_space_group_name_H-M 'A m m 2'
_symmetry_Int_Tables_number 38
loop_
_symmetry_equiv_pos_as_xyz
'x,y,z'
'-x,-y,z'
'-x,y,z'
'x,-y,z'
'x,y+1/2,z+1/2'
'-x,-y+1/2,z+1/2'
'-x,y+1/2,z+1/2'
'x,-y+1/2,z+1/2'
loop_
_atom_site_label
_atom_site_type_symbol
_atom_site_fract_x
_atom_site_fract_y
_atom_site_fract_z
Sc1 Sc 0.000 0.000 0.000
U1 U 0.500 0.000 0.341
Te1 Te 0.000 0.000 0.249
Te2 Te 0.000 0.000 0.588
Te3 Te 0.000 0.000 0.879
Te4 Te 0.500 0.000 0.088
Te5 Te 0.500 0.000 0.464
Te6 Te 0.500 0.000 0.749
```

=====

No. 10
# YSc2Te2
Computed PXRD pattern, Cu Kα, 1.54184 Å. Input: a GGA-PBE-relaxed structure.
No peak broadening, texture or thermal motion is included.

Peak list (12 most intense, 5° ≤ 2θ ≤ 70°, by angle)
hkl	d_spacing	two_theta	I/Imax
0 0 1	3.812	23.33	30.5
2 1 0	3.613	24.64	25.0
2 1 1	2.623	34.19	100.0
3 1 0	2.555	35.12	54.1
3 1 1	2.123	42.59	26.1
3 2 1	1.932	47.04	7.2
0 0 2	1.906	47.72	19.0
4 2 0	1.807	50.51	7.2
4 1 1	1.743	52.50	9.4
3 1 2	1.528	60.61	21.2
5 2 1	1.396	67.03	20.5
6 0 0	1.347	69.83	9.0

Cell and atoms:
```
data_YSc2Te2
_chemical_formula_sum 'Y2 Sc4 Te4'
_cell_length_a 8.080
_cell_length_b 8.080
_cell_length_c 3.812
_cell_angle_alpha 90.00
_cell_angle_beta 90.00
_cell_angle_gamma 90.00
_symmetry_space_group_name_H-M 'P 4/m b m'
_symmetry_Int_Tables_number 127
_symmetry_space_group_name_Hall '-P 4 2ab'
loop_
_atom_site_label
_atom_site_type_symbol
_atom_site_fract_x
_atom_site_fract_y
_atom_site_fract_z
Y1 Y 0.000 0.000 0.000
Sc1 Sc 0.148 0.352 0.500
Te1 Te 0.148 0.648 0.000
```

=====

No. 11
# YScTe4
Computed PXRD pattern, Cu Kα, 1.54184 Å. Input: a GGA-PBE-relaxed structure.
No peak broadening, texture or thermal motion is included.

Peak list (12 most intense, 5° ≤ 2θ ≤ 70°, by angle)
hkl	d_spacing	two_theta	I/Imax
1 1 1	5.161	17.18	33.5
2 2 0	3.161	28.23	12.1
3 1 1	2.695	33.24	100.0
2 2 2	2.581	34.76	61.3
4 0 0	2.235	40.36	16.0
3 3 1	2.051	44.16	9.3
4 2 2	1.825	49.98	4.6
5 1 1	1.720	53.24	34.1
4 4 0	1.580	58.39	32.2
5 3 1	1.511	61.35	7.1
5 3 3	1.363	68.87	11.6
6 2 2	1.348	69.78	23.6

Cell and atoms:
```
data_YScTe4
_chemical_formula_sum 'Y4 Sc4 Te16'
_cell_length_a 8.940
_cell_length_b 8.940
_cell_length_c 8.940
_cell_angle_alpha 90.00
_cell_angle_beta 90.00
_cell_angle_gamma 90.00
_symmetry_space_group_name_H-M 'F -4 3 m'
_symmetry_Int_Tables_number 216
_symmetry_space_group_name_Hall 'F -4 2 3'
loop_
_atom_site_label
_atom_site_type_symbol
_atom_site_fract_x
_atom_site_fract_y
_atom_site_fract_z
Y1 Y 0.000 0.000 0.000
Sc1 Sc 0.250 0.250 0.750
Te1 Te 0.125 0.125 0.375
```

=====

No. 12
# YSc2Te4
Computed PXRD pattern, Cu Kα, 1.54184 Å. Input: a GGA-PBE-relaxed structure.
No peak broadening, texture or thermal motion is included.

Peak list (12 most intense, 5° ≤ 2θ ≤ 70°, by angle)
hkl	d_spacing	two_theta	I/Imax
4 0 0	3.549	25.09	21.1
0 0 2	3.244	27.50	96.8
3 1 -1	3.230	27.62	100.0
3 1 1	2.544	35.28	43.9
6 0 -2	2.533	35.43	45.6
3 1 -3	2.101	43.05	47.2
0 2 0	2.096	43.15	24.0
7 1 -1	1.979	45.86	25.6
0 2 2	1.761	51.91	18.9
6 2 -2	1.615	57.03	13.0
8 2 0	1.354	69.42	16.1
11 1 -3	1.351	69.57	13.5

Cell and atoms:
```
data_YSc2Te4
_chemical_formula_sum 'Y2 Sc4 Te8'
_cell_length_a 15.906
_cell_length_b 4.193
_cell_length_c 7.285
_cell_angle_alpha 90.00
_cell_angle_beta 116.82
_cell_angle_gamma 90.00
_symmetry_space_group_name_H-M 'C 1 2/m 1'
_symmetry_Int_Tables_number 12
loop_
_symmetry_equiv_pos_as_xyz
'x,y,z'
'-x,-y,-z'
'-x,y,-z'
'x,-y,z'
'x+1/2,y+1/2,z'
'-x+1/2,-y+1/2,-z'
'-x+1/2,y+1/2,-z'
'x+1/2,-y+1/2,z'
loop_
_atom_site_label
_atom_site_type_symbol
_atom_site_fract_x
_atom_site_fract_y
_atom_site_fract_z
Y1 Y 0.000 0.000 0.000
Sc1 Sc 0.247 0.500 0.727
Te1 Te 0.126 0.000 0.465
Te2 Te 0.135 0.500 0.967
```

=====

No. 13
# ScZn4Te
Computed PXRD pattern, Cu Kα, 1.54184 Å. Input: a GGA-PBE-relaxed structure.
No peak broadening, texture or thermal motion is included.

Peak list (11 most intense, 5° ≤ 2θ ≤ 70°, by angle)
hkl	d_spacing	two_theta	I/Imax
1 1 1	4.410	20.14	8.2
2 0 0	3.819	23.29	9.2
2 2 0	2.700	33.18	31.3
3 1 1	2.303	39.12	100.0
2 2 2	2.205	40.93	36.1
4 0 0	1.909	47.63	2.7
3 3 1	1.752	52.20	2.7
4 2 0	1.708	53.67	3.3
4 2 2	1.559	59.27	11.2
5 1 1	1.470	63.27	30.9
4 4 0	1.350	69.64	24.2

Cell and atoms:
```
data_ScZn4Te
_chemical_formula_sum 'Sc4 Zn16 Te4'
_cell_length_a 7.638
_cell_length_b 7.638
_cell_length_c 7.638
_cell_angle_alpha 90.00
_cell_angle_beta 90.00
_cell_angle_gamma 90.00
_symmetry_space_group_name_H-M 'F -4 3 m'
_symmetry_Int_Tables_number 216
_symmetry_space_group_name_Hall 'F -4 2 3'
loop_
_atom_site_label
_atom_site_type_symbol
_atom_site_fract_x
_atom_site_fract_y
_atom_site_fract_z
Sc1 Sc 0.000 0.000 0.000
Zn1 Zn 0.126 0.126 0.374
Te1 Te 0.250 0.250 0.750
```